Simulated powder X-ray diffraction pattern of Hf3NiO6F6 for Cu Kα, from DFT lattice parameters and positions (GGA+U).

Largest 10 diffraction maxima, by angle, 2θ from 10° to 90°:
- 14.91°, I 48
- 15.16°, I 45
- 17.36°, I 33
- 22.97°, I 100
- 23.52°, I 41
- 30.08°, I 35
- 30.60°, I 29
- 31.00°, I 29
- 35.14°, I 41
- 35.43°, I 27

Cell and atoms:
Cell lengths 5.8916, 6.9646, 7.0217 Å; angles 111.22, 105.50, 107.15 degrees
Space group P-1 (No. 2)
One atom of each set of equivalent atoms:
Hf1 0.0000 0.0000 0.0000 x1
Hf2 0.0000 0.5000 0.5000 x1
Hf3 0.5000 0.0000 0.5000 x1
Ni1 0.0000 0.0000 0.5000 x1
O1 0.1430 0.3076 0.5929 x2
O2 0.1449 0.9551 0.2834 x2
O3 0.3229 0.0741 0.7079 x2
F1 0.1002 0.7442 0.8266 x2
F2 0.3224 0.6691 0.4575 x2
F3 0.3549 0.2370 0.1219 x2



Simulated powder X-ray diffraction pattern of UVNiO6 for Cu Kα, from DFT lattice parameters and positions (GGA+U).

Largest 10 diffraction maxima, by angle, 2θ from 10° to 90°:
- 19.75°, I 57
- 22.24°, I 86
- 28.18°, I 100
- 34.81°, I 64
- 36.11°, I 27
- 40.35°, I 71
- 45.37°, I 27
- 54.15°, I 61
- 58.43°, I 25
- 62.42°, I 24

Cell and atoms:
Cell lengths 5.1541, 5.1541, 8.9884 Å; angles 90.00, 90.00, 120.00 degrees
Space group P-31c (No. 163)
One atom of each set of equivalent atoms:
U1 0.3333 0.6667 0.2500 x2
V1 0.0000 0.0000 0.0000 x2
Ni1 0.3333 0.6667 0.7500 x2
O1 0.0012 0.3185 0.6246 x12